The following is a theoretical PXRD pattern of PrBeH4. It was derived from the PBE geometry in Alexandria, using copper Kα.
Neutral-atom scattering factors, no anomalous dispersion.

Atomic structure:
```
PrBeH4
1.0
6.4916 0.0000 0.0000
0.0000 4.4664 0.0000
0.0000 0.0000 4.3470
Pr Be H
2 2 8
direct
0.0000 0.2003 0.0000 Pr
0.5000 0.7997 0.5000 Pr
0.0000 0.7110 0.5092 Be
0.5000 0.2890 0.0092 Be
0.0000 0.3954 0.4753 H
0.0000 0.7189 0.8374 H
0.1638 0.8862 0.3673 H
0.3362 0.1138 0.8673 H
0.5000 0.2811 0.3374 H
0.5000 0.6046 0.9753 H
0.6638 0.1138 0.8673 H
0.8362 0.8862 0.3673 H
```

Peak list (6 most intense, 2θ = 5–70°, low angle first)
24.2°, d 3.680, I = 95, (1 1 0)
24.6°, d 3.612, I = 100, (1 0 1)
27.5°, d 3.246, I = 49, (2 0 0)
28.7°, d 3.115, I = 77, (0 1 1)
40.1°, d 2.248, I = 60, (2 1 1)
48.7°, d 1.871, I = 31, (1 1 2)


The following is a theoretical PXRD pattern of YAu5. It was derived from the PBE geometry in Alexandria, using copper Kα.
Neutral-atom scattering factors, no anomalous dispersion.

Atomic structure:
```
YAu5
1.0
5.1881 0.0000 0.0000
-2.5940 4.4930 0.0000
0.0000 0.0000 5.0437
Y Au
1 5
direct
0.0000 0.0000 0.0000 Y
0.0000 0.6649 0.5000 Au
0.3333 0.6667 0.0000 Au
0.3351 0.3351 0.5000 Au
0.6649 0.0000 0.5000 Au
0.6667 0.3333 0.0000 Au
```

Peak list (6 most intense, 2θ = 5–70°, low angle first)
34.6°, d 2.594, I = 24, (1 1 0)
35.6°, d 2.522, I = 28, (0 0 2)
39.0°, d 2.307, I = 100, (1 1 1)
50.5°, d 1.808, I = 16, (1 1 2)
62.0°, d 1.498, I = 17, (3 0 0)
66.2°, d 1.411, I = 21, (1 1 3)